Record 1
Theoretical PXRD pattern
Compound: Ca2Pm2Sn3
Radiation: λ = 1.5418 Å (Cu Kα)
Structure: a structure optimized by DFT (PBE)

Peak list (6 most intense, 2θ = 5–70°, in order of falling intensity)
| d_spacing | 2θ (°) | I/Imax |
| --- | --- | --- |
| 2.722 | 32.9 | 100 |
| 5.080 | 17.5 | 27 |
| 2.677 | 33.5 | 24 |
| 2.557 | 35.1 | 20 |
| 1.554 | 59.5 | 18 |
| 3.700 | 24.1 | 17 |

Atomic structure:
```
Ca2Pm2Sn3
1.0
5.113 0.000 0.000
0.000 5.355 0.000
0.000 0.000 16.081
Ca Pm Sn
4 4 6
direct
0.000 0.000 0.119 Ca
0.000 0.000 0.881 Ca
0.500 0.500 0.381 Ca
0.500 0.500 0.619 Ca
0.000 0.000 0.374 Pm
0.000 0.000 0.626 Pm
0.500 0.500 0.126 Pm
0.500 0.500 0.874 Pm
0.000 0.500 0.000 Sn
0.000 0.500 0.255 Sn
0.000 0.500 0.745 Sn
0.500 0.000 0.245 Sn
0.500 0.000 0.500 Sn
0.500 0.000 0.755 Sn
```

=====

Record 2
Theoretical PXRD pattern
Compound: Ho5PaIr6
Radiation: λ = 1.5418 Å (Cu Kα)
Structure: a structure optimized by DFT (PBE)

Peak list (6 most intense, 2θ = 5–70°, in order of falling intensity)
| d_spacing | 2θ (°) | I/Imax |
| --- | --- | --- |
| 2.437 | 36.9 | 100 |
| 2.407 | 37.4 | 48 |
| 1.395 | 67.1 | 34 |
| 1.413 | 66.1 | 18 |
| 1.702 | 53.9 | 17 |
| 1.746 | 52.4 | 9 |

Atomic structure:
```
Ho5PaIr6
1.0
2.408 -7.220 0.000
2.408 7.220 0.000
0.000 0.000 6.983
Ho Pa Ir
5 1 6
direct
0.000 0.000 0.000 Ho
0.329 0.671 0.500 Ho
0.332 0.668 0.000 Ho
0.668 0.332 0.000 Ho
0.671 0.329 0.500 Ho
0.000 0.000 0.500 Pa
0.159 0.841 0.254 Ir
0.159 0.841 0.746 Ir
0.500 0.500 0.264 Ir
0.500 0.500 0.736 Ir
0.841 0.159 0.254 Ir
0.841 0.159 0.746 Ir
```

=====

Record 3
Theoretical PXRD pattern
Compound: Nd8Dy3Th2
Radiation: λ = 1.5418 Å (Cu Kα)
Structure: a structure optimized by DFT (PBE)

Peak list (6 most intense, 2θ = 5–70°, in order of falling intensity)
| d_spacing | 2θ (°) | I/Imax |
| --- | --- | --- |
| 2.763 | 32.4 | 100 |
| 2.807 | 31.9 | 69 |
| 2.765 | 32.4 | 61 |
| 2.863 | 31.2 | 56 |
| 2.979 | 30.0 | 55 |
| 1.873 | 48.6 | 24 |

Atomic structure:
```
Nd8Dy3Th2
1.0
6.792 0.000 0.000
0.000 22.079 0.000
-2.985 0.000 5.966
Nd Dy Th
16 6 4
direct
0.085 0.066 0.144 Nd
0.085 0.434 0.644 Nd
0.132 0.117 0.641 Nd
0.132 0.383 0.141 Nd
0.365 0.215 0.383 Nd
0.365 0.285 0.883 Nd
0.385 0.646 0.399 Nd
0.385 0.854 0.899 Nd
0.615 0.146 0.101 Nd
0.615 0.354 0.601 Nd
0.635 0.715 0.117 Nd
0.635 0.785 0.617 Nd
0.868 0.617 0.859 Nd
0.868 0.883 0.359 Nd
0.915 0.566 0.356 Nd
0.915 0.934 0.856 Nd
0.122 0.721 0.650 Dy
0.122 0.779 0.150 Dy
0.500 0.000 0.000 Dy
0.500 0.500 0.500 Dy
0.878 0.221 0.850 Dy
0.878 0.279 0.350 Dy
0.370 0.568 0.920 Th
0.370 0.932 0.420 Th
0.630 0.068 0.580 Th
0.630 0.432 0.080 Th
```